1.
Starting from a DFT-relaxed cell (GGA-PBE, the Materials Project), the PXRD pattern of TbY3 was computed for λ = 1.5418 Å (Cu Kα).
Kinematic intensities with the Lorentz-polarization factor, no thermal factor.

Structure:
```
data_TbY3
_chemical_formula_sum 'Tb2 Y6'
_space_group_name_H-M_alt 'I 4/m m m'
_space_group_IT_number 139
_space_group_name_Hall '-I 4 2'
_cell_length_a 5.060
_cell_length_b 5.060
_cell_length_c 10.158
_cell_angle_alpha 90.00
_cell_angle_beta 90.00
_cell_angle_gamma 90.00
loop_
_atom_site_label
_atom_site_fract_x
_atom_site_fract_y
_atom_site_fract_z
Tb1 0.000 0.000 0.000
Y1 0.000 0.000 0.500
Y2 0.000 0.500 0.250
```

Top 10 peaks for 10° ≤ 2θ ≤ 90°, low angle first:
| d [Å] | intensity | h k l |
| --- | --- | --- |
| 2.925 | 100 | 1 1 2 |
| 2.540 | 17 | 0 0 4 |
| 2.530 | 33 | 2 0 0 |
| 1.792 | 23 | 2 0 4 |
| 1.789 | 12 | 2 2 0 |
| 1.530 | 14 | 1 1 6 |
| 1.526 | 27 | 3 1 2 |
| 1.462 | 12 | 2 2 4 |
| 1.163 | 11 | 3 1 6 |
| 1.132 | 10 | 4 2 0 |



2.
Starting from a DFT-relaxed cell (GGA-PBE, the Materials Project), the PXRD pattern of Rb2NaTaCl6 was computed for λ = 1.5418 Å (Cu Kα).
Kinematic intensities with the Lorentz-polarization factor, no thermal factor.

Structure:
```
data_Rb2NaTaCl6
_chemical_formula_sum 'Rb8 Na4 Ta4 Cl24'
_space_group_name_H-M_alt 'F m -3 m'
_space_group_IT_number 225
_space_group_name_Hall '-F 4 2 3'
_cell_length_a 10.479
_cell_length_b 10.479
_cell_length_c 10.479
_cell_angle_alpha 90.00
_cell_angle_beta 90.00
_cell_angle_gamma 90.00
loop_
_atom_site_label
_atom_site_fract_x
_atom_site_fract_y
_atom_site_fract_z
Rb1 0.250 0.250 0.250
Na1 0.000 0.000 0.000
Ta1 0.000 0.000 0.500
Cl1 0.000 0.000 0.263
```

Top 10 peaks for 10° ≤ 2θ ≤ 90°, low angle first:
| d [Å] | intensity | h k l |
| --- | --- | --- |
| 6.050 | 67 | 1 1 1 |
| 3.705 | 100 | 2 2 0 |
| 3.160 | 31 | 3 1 1 |
| 2.620 | 75 | 4 0 0 |
| 2.139 | 45 | 4 2 2 |
| 2.017 | 17 | 5 1 1 |
| 1.852 | 50 | 4 4 0 |
| 1.657 | 22 | 6 2 0 |
| 1.400 | 25 | 6 4 2 |
| 1.172 | 21 | 8 4 0 |



3.
Starting from a DFT-relaxed cell (GGA-PBE, the Materials Project), the PXRD pattern of Tm2ZnS4 was computed for λ = 1.5418 Å (Cu Kα).
Kinematic intensities with the Lorentz-polarization factor, no thermal factor.

Structure:
```
data_Tm2ZnS4
_chemical_formula_sum 'Tm8 Zn4 S16'
_space_group_name_H-M_alt 'P n m a'
_space_group_IT_number 62
_cell_length_a 13.395
_cell_length_b 7.794
_cell_length_c 6.293
_cell_angle_alpha 90.00
_cell_angle_beta 90.00
_cell_angle_gamma 90.00
loop_
_space_group_symop_operation_xyz
'x,y,z'
'-x,-y,-z'
'-x+1/2,-y,z+1/2'
'x+1/2,y,-z+1/2'
'x+1/2,-y+1/2,-z+1/2'
'-x+1/2,y+1/2,z+1/2'
'-x,y+1/2,-z'
'x,-y+1/2,z'
loop_
_atom_site_label
_atom_site_fract_x
_atom_site_fract_y
_atom_site_fract_z
Tm1 0.000 0.000 0.000
Tm2 0.235 0.250 0.497
Zn1 0.092 0.750 0.411
S1 0.071 0.250 0.745
S2 0.090 0.750 0.777
S3 0.168 0.512 0.242
```

Top 10 peaks for 10° ≤ 2θ ≤ 90°, low angle first:
| d [Å] | intensity | h k l |
| --- | --- | --- |
| 5.696 | 37 | 1 0 1 |
| 4.598 | 79 | 1 1 1 |
| 3.642 | 56 | 3 0 1 |
| 3.368 | 50 | 2 2 0 |
| 3.299 | 82 | 3 1 1 |
| 3.216 | 91 | 1 2 1 |
| 2.299 | 100 | 2 2 2 |
| 2.293 | 43 | 4 0 2 |
| 1.949 | 29 | 0 4 0 |
| 1.937 | 50 | 6 2 0 |



4.
Starting from a DFT-relaxed cell (GGA-PBE, the Materials Project), the PXRD pattern of HPb3Cl4OF was computed for λ = 1.5418 Å (Cu Kα).
Kinematic intensities with the Lorentz-polarization factor, no thermal factor.

Structure:
```
data_HPb3Cl4OF
_chemical_formula_sum 'H2 Pb6 Cl8 O2 F2'
_space_group_name_H-M_alt 'P -1'
_space_group_IT_number 2
_cell_length_a 7.273
_cell_length_b 7.889
_cell_length_c 8.685
_cell_angle_alpha 76.71
_cell_angle_beta 78.85
_cell_angle_gamma 89.76
loop_
_space_group_symop_operation_xyz
'x,y,z'
'-x,-y,-z'
loop_
_atom_site_label
_atom_site_fract_x
_atom_site_fract_y
_atom_site_fract_z
H1 0.007 0.247 0.005
Pb1 0.251 0.840 0.589
Pb2 0.287 0.360 0.596
Pb3 0.339 0.214 0.130
Cl1 0.077 0.419 0.308
Cl2 0.081 0.924 0.303
Cl3 0.349 0.020 0.857
Cl4 0.354 0.540 0.856
O1 0.394 0.635 0.462
F1 0.385 0.138 0.423
```

Top 10 peaks for 10° ≤ 2θ ≤ 90°, low angle first:
| d [Å] | intensity | h k l |
| --- | --- | --- |
| 8.285 | 78 | 0 0 1 |
| 5.074 | 38 | 0 1 -1 |
| 3.936 | 85 | 1 0 2 |
| 3.565 | 51 | 2 0 0 |
| 3.314 | 100 | -1 2 1 |
| 3.066 | 34 | 1 2 2 |
| 2.809 | 85 | -1 2 2 |
| 2.539 | 63 | 2 2 2 |
| 2.529 | 38 | 2 -2 1 |
| 2.030 | 40 | 0 2 -3 |



5.
Starting from a DFT-relaxed cell (GGA-PBE, the Materials Project), the PXRD pattern of Cu2H4CO5 was computed for λ = 1.5418 Å (Cu Kα).
Kinematic intensities with the Lorentz-polarization factor, no thermal factor.

Structure:
```
data_Cu2H4CO5
_chemical_formula_sum 'Cu4 H8 C2 O10'
_space_group_name_H-M_alt 'P 1 21 1'
_space_group_IT_number 4
_cell_length_a 5.759
_cell_length_b 6.132
_cell_length_c 7.031
_cell_angle_alpha 90.00
_cell_angle_beta 110.64
_cell_angle_gamma 90.00
loop_
_space_group_symop_operation_xyz
'x,y,z'
'-x,y+1/2,-z'
loop_
_atom_site_label
_atom_site_fract_x
_atom_site_fract_y
_atom_site_fract_z
Cu1 0.000 0.000 0.000
Cu2 0.497 0.254 0.997
H1 0.120 0.745 0.287
H2 0.163 0.534 0.734
H3 0.198 0.012 0.733
H4 0.424 0.246 0.581
C1 0.259 0.200 0.447
O1 0.086 0.096 0.484
O2 0.158 0.749 0.162
O3 0.260 0.255 0.275
O4 0.267 0.508 0.881
O5 0.271 0.002 0.886
```

Top 10 peaks for 10° ≤ 2θ ≤ 90°, low angle first:
| d [Å] | intensity | h k l |
| --- | --- | --- |
| 6.580 | 100 | 0 0 1 |
| 3.290 | 20 | 0 0 2 |
| 2.874 | 12 | 2 0 -1 |
| 2.665 | 21 | 1 2 0 |
| 2.577 | 16 | 2 0 -2 |
| 2.333 | 25 | 1 2 1 |
| 2.274 | 9 | 1 2 -2 |
| 2.102 | 8 | 2 0 -3 |
| 1.914 | 13 | 1 2 2 |
| 1.623 | 8 | 3 2 -1 |



6.
Starting from a DFT-relaxed cell (GGA-PBE, the Materials Project), the PXRD pattern of Ca2AlH8S2ClO12F2 was computed for λ = 1.5418 Å (Cu Kα).
Kinematic intensities with the Lorentz-polarization factor, no thermal factor.

Structure:
```
data_Ca2AlH8S2ClO12F2
_chemical_formula_sum 'Ca4 Al2 H16 S4 Cl2 O24 F4'
_space_group_name_H-M_alt 'I 4/m'
_space_group_IT_number 87
_space_group_name_Hall '-I 4'
_cell_length_a 6.963
_cell_length_b 6.963
_cell_length_c 13.221
_cell_angle_alpha 90.00
_cell_angle_beta 90.00
_cell_angle_gamma 90.00
loop_
_atom_site_label
_atom_site_fract_x
_atom_site_fract_y
_atom_site_fract_z
Ca1 0.000 0.000 0.198
Al1 0.000 0.000 0.500
H1 0.097 0.338 0.439
S1 0.000 0.500 0.250
Cl1 0.000 0.000 0.000
O1 0.044 0.275 0.500
O2 0.063 0.662 0.184
F1 0.000 0.000 0.366
```

Top 10 peaks for 10° ≤ 2θ ≤ 90°, low angle first:
| d [Å] | intensity | h k l |
| --- | --- | --- |
| 6.610 | 27 | 0 0 2 |
| 3.949 | 32 | 1 1 2 |
| 3.724 | 23 | 1 0 3 |
| 3.481 | 100 | 2 0 0 |
| 3.305 | 17 | 0 0 4 |
| 3.080 | 16 | 2 0 2 |
| 3.031 | 14 | 2 1 1 |
| 2.202 | 31 | 0 0 6 |
| 2.016 | 16 | 2 1 5 |
| 1.558 | 29 | 3 1 6 |



7.
Starting from a DFT-relaxed cell (GGA-PBE, the Materials Project), the PXRD pattern of RbInBr3 was computed for λ = 1.5418 Å (Cu Kα).
Kinematic intensities with the Lorentz-polarization factor, no thermal factor.

Structure:
```
data_RbInBr3
_chemical_formula_sum 'Rb8 In8 Br24'
_space_group_name_H-M_alt 'F m -3 m'
_space_group_IT_number 225
_space_group_name_Hall '-F 4 2 3'
_cell_length_a 11.611
_cell_length_b 11.611
_cell_length_c 11.611
_cell_angle_alpha 90.00
_cell_angle_beta 90.00
_cell_angle_gamma 90.00
loop_
_atom_site_label
_atom_site_fract_x
_atom_site_fract_y
_atom_site_fract_z
Rb1 0.250 0.250 0.250
In1 0.000 0.000 0.000
In2 0.000 0.000 0.500
Br1 0.000 0.000 0.236
```

Top 10 peaks for 10° ≤ 2θ ≤ 90°, low angle first:
| d [Å] | intensity | h k l |
| --- | --- | --- |
| 5.805 | 36 | 2 0 0 |
| 4.105 | 37 | 2 2 0 |
| 3.352 | 45 | 2 2 2 |
| 2.903 | 100 | 4 0 0 |
| 2.596 | 17 | 4 2 0 |
| 2.053 | 71 | 4 4 0 |
| 1.750 | 18 | 6 2 2 |
| 1.676 | 24 | 4 4 4 |
| 1.298 | 29 | 8 4 0 |
| 1.185 | 21 | 8 4 4 |



8.
Starting from a DFT-relaxed cell (GGA-PBE, the Materials Project), the PXRD pattern of Eu2Zn5Ni5 was computed for λ = 1.5418 Å (Cu Kα).
Kinematic intensities with the Lorentz-polarization factor, no thermal factor.

Structure:
```
data_Eu2Zn5Ni5
_chemical_formula_sum 'Eu2 Zn5 Ni5'
_space_group_name_H-M_alt 'P m m m'
_space_group_IT_number 47
_cell_length_a 3.992
_cell_length_b 5.335
_cell_length_c 9.029
_cell_angle_alpha 90.00
_cell_angle_beta 90.00
_cell_angle_gamma 90.00
loop_
_space_group_symop_operation_xyz
'x,y,z'
'-x,-y,-z'
'-x,-y,z'
'x,y,-z'
'x,-y,-z'
'-x,y,z'
'-x,y,-z'
'x,-y,z'
loop_
_atom_site_label
_atom_site_fract_x
_atom_site_fract_y
_atom_site_fract_z
Eu1 0.000 0.000 0.000
Eu2 0.000 0.500 0.500
Zn1 0.500 0.000 0.500
Zn2 0.500 0.253 0.244
Ni1 0.000 0.000 0.334
Ni2 0.000 0.500 0.160
Ni3 0.500 0.500 0.000
```

Top 10 peaks for 10° ≤ 2θ ≤ 90°, low angle first:
| d [Å] | intensity | h k l |
| --- | --- | --- |
| 3.013 | 47 | 1 1 1 |
| 2.990 | 27 | 1 0 2 |
| 2.621 | 32 | 0 1 3 |
| 2.297 | 43 | 0 2 2 |
| 2.218 | 54 | 1 2 0 |
| 2.191 | 100 | 1 1 3 |
| 1.996 | 37 | 2 0 0 |
| 1.506 | 25 | 2 2 2 |
| 1.430 | 24 | 1 3 3 |
| 1.096 | 20 | 2 2 6 |